Simulated powder XRD pattern of AcNd4Er2 for a wavelength of 1.5418 Å, from a GGA-PBE-relaxed structure.
No peak broadening, texture or thermal motion is included.

```
data_AcNd4Er2
_chemical_formula_sum 'Ac3 Nd12 Er6'
_cell_length_a 5.8053
_cell_length_b 5.8053
_cell_length_c 25.3497
_cell_angle_alpha 90.00
_cell_angle_beta 90.00
_cell_angle_gamma 120.00
_symmetry_space_group_name_H-M 'R -3 m'
_symmetry_Int_Tables_number 166
_symmetry_space_group_name_Hall '-R 3 2"'
loop_
_atom_site_label
_atom_site_type_symbol
_atom_site_fract_x
_atom_site_fract_y
_atom_site_fract_z
Ac1 Ac 0.0000 0.0000 0.0000
Nd1 Nd 0.0000 0.0000 0.2684
Nd2 Nd 0.0000 0.0000 0.4231
Er1 Er 0.0000 0.0000 0.1389
```

Top 12 peaks for 2θ from 10° to 80°, by angle:
- (1 0 7), d 2.938, 2θ 30.42, I = 87
- (1 1 0), d 2.903, 2θ 30.80, I = 100
- (0 1 8), d 2.681, 2θ 33.43, I = 12
- (0 2 7), d 2.065, 2θ 43.84, I = 32
- (0 1 14), d 1.704, 2θ 53.81, I = 11
- (2 1 7), d 1.683, 2θ 54.54, I = 34
- (3 0 0), d 1.676, 2θ 54.78, I = 20
- (2 0 14), d 1.469, 2θ 63.30, I = 7
- (1 1 15), d 1.460, 2θ 63.72, I = 8
- (2 2 0), d 1.451, 2θ 64.17, I = 12
- (1 2 14), d 1.311, 2θ 72.04, I = 9
- (1 3 7), d 1.301, 2θ 72.66, I = 15